1.
Calculated PXRD pattern of MoBrO2 for λ = 1.5418 Å (Cu Kα), from a crystal structure in Alexandria, relaxed with GGA+U.

Largest 10 diffraction maxima, in order of rising 2θ, 10 to 90 degrees two-theta:
| 2theta | I/Imax |
| --- | --- |
| 16.64 | 100 |
| 18.74 | 23 |
| 23.62 | 35 |
| 28.02 | 24 |
| 33.65 | 28 |
| 34.20 | 32 |
| 38.00 | 14 |
| 41.49 | 14 |
| 42.71 | 23 |
| 44.80 | 21 |

Atomic structure:
abc: 5.3288 6.2173 11.6202
angles: 90.00 117.29 90.00
Positions (direct):
Mo 0.1820 0.9997 0.4320
Mo 0.1820 0.5003 0.9320
Mo 0.8180 0.0003 0.5680
Mo 0.8180 0.4997 0.0680
Br 0.2052 0.2495 0.2498
Br 0.2052 0.2505 0.7498
Br 0.7948 0.7495 0.2502
Br 0.7948 0.7505 0.7502
O 0.1154 0.6648 0.0645
O 0.1154 0.8352 0.5645
O 0.4867 0.6648 0.9356
O 0.4867 0.8352 0.4356
O 0.5133 0.1648 0.5644
O 0.5133 0.3352 0.0644
O 0.8846 0.1648 0.4355
O 0.8846 0.3352 0.9355


2.
Calculated PXRD pattern of MoBr2O2 for λ = 1.5418 Å (Cu Kα), from a crystal structure in Alexandria, relaxed with GGA+U.

Largest 10 diffraction maxima, in order of rising 2θ, 10 to 90 degrees two-theta:
| 2theta | I/Imax |
| --- | --- |
| 10.99 | 52 |
| 23.05 | 100 |
| 23.47 | 98 |
| 32.16 | 55 |
| 33.39 | 40 |
| 45.60 | 42 |
| 47.10 | 16 |
| 51.97 | 17 |
| 52.59 | 16 |
| 67.29 | 16 |

Atomic structure:
abc: 8.5131 8.5131 7.7985
angles: 103.05 103.05 27.00
Positions (direct):
Mo 0.0584 0.9416 0.5000
Mo 0.9416 0.0584 0.0000
Br 0.1266 0.1767 0.6138
Br 0.1767 0.1266 0.1138
Br 0.8234 0.8733 0.4644
Br 0.8733 0.8234 0.9644
O 0.0088 0.9912 0.2730
O 0.4996 0.5004 0.0184
O 0.5004 0.4996 0.5184
O 0.9912 0.0088 0.7730


3.
Calculated PXRD pattern of PrMoBrO4 for λ = 1.5418 Å (Cu Kα), from a crystal structure in Alexandria, relaxed with GGA+U.

Largest 10 diffraction maxima, in order of rising 2θ, 10 to 90 degrees two-theta:
| 2theta | I/Imax |
| --- | --- |
| 13.14 | 35 |
| 16.96 | 19 |
| 23.50 | 100 |
| 24.62 | 45 |
| 26.45 | 19 |
| 28.33 | 16 |
| 30.45 | 16 |
| 30.77 | 20 |
| 31.24 | 22 |
| 34.25 | 18 |

Atomic structure:
abc: 7.1022 7.5748 11.5825
angles: 107.97 107.10 91.01
Positions (direct):
Pr 0.1040 0.3626 0.2301
Pr 0.1399 0.1177 0.7289
Pr 0.8601 0.8823 0.2711
Pr 0.8960 0.6374 0.7699
Mo 0.2363 0.8194 0.1353
Mo 0.2717 0.5752 0.6327
Mo 0.7283 0.4248 0.3673
Mo 0.7637 0.1806 0.8647
Br 0.2444 0.0099 0.4852
Br 0.2960 0.2705 0.0152
Br 0.7040 0.7295 0.9848
Br 0.7556 0.9901 0.5148
O 0.1191 0.0283 0.1888
O 0.1259 0.6632 0.1964
O 0.1658 0.7865 0.6982
O 0.1745 0.7341 0.9658
O 0.1756 0.4203 0.7001
O 0.1858 0.4920 0.4623
O 0.4655 0.3917 0.3152
O 0.4978 0.8606 0.2062
O 0.5022 0.1394 0.7938
O 0.5345 0.6083 0.6848
O 0.8142 0.5080 0.5377
O 0.8244 0.5797 0.2999
O 0.8255 0.2659 0.0342
O 0.8342 0.2135 0.3018
O 0.8741 0.3368 0.8036
O 0.8809 0.9717 0.8112


4.
Calculated PXRD pattern of MoSBr2O6 for λ = 1.5418 Å (Cu Kα), from a crystal structure in Alexandria, relaxed with GGA+U.

Largest 10 diffraction maxima, in order of rising 2θ, 10 to 90 degrees two-theta:
| 2theta | I/Imax |
| --- | --- |
| 22.82 | 50 |
| 23.42 | 35 |
| 25.37 | 100 |
| 27.09 | 46 |
| 28.75 | 34 |
| 37.13 | 17 |
| 41.20 | 24 |
| 42.34 | 23 |
| 47.91 | 20 |
| 52.09 | 16 |

Atomic structure:
abc: 4.7926 5.0295 6.6190
angles: 84.09 89.10 88.22
Positions (direct):
Mo 0.0000 0.0000 0.0000
S 0.5000 0.5000 0.0000
Br 0.3586 0.6662 0.5792
Br 0.6414 0.3338 0.4208
O 0.0995 0.9935 0.7350
O 0.2342 0.3267 0.0329
O 0.3232 0.7469 0.0793
O 0.6768 0.2531 0.9207
O 0.7658 0.6733 0.9671
O 0.9005 0.0065 0.2650


5.
Calculated PXRD pattern of ScMoBrO4 for λ = 1.5418 Å (Cu Kα), from a crystal structure in Alexandria, relaxed with GGA+U.

Largest 10 diffraction maxima, in order of rising 2θ, 10 to 90 degrees two-theta:
| 2theta | I/Imax |
| --- | --- |
| 18.15 | 43 |
| 21.32 | 61 |
| 22.18 | 88 |
| 22.47 | 32 |
| 25.24 | 100 |
| 30.59 | 77 |
| 31.27 | 55 |
| 33.25 | 41 |
| 41.29 | 33 |
| 51.81 | 27 |

Atomic structure:
abc: 6.0287 6.0287 9.5596
angles: 113.54 113.54 71.64
Positions (direct):
Sc 0.1878 0.1878 0.2224
Sc 0.8122 0.8122 0.7776
Mo 0.3764 0.3764 0.6783
Mo 0.6236 0.6236 0.3217
Br 0.1303 0.1303 0.9174
Br 0.8697 0.8697 0.0826
O 0.1315 0.5453 0.7623
O 0.2456 0.2456 0.4654
O 0.4242 0.4242 0.2840
O 0.4547 0.8685 0.2377
O 0.5453 0.1315 0.7623
O 0.5758 0.5758 0.7160
O 0.7544 0.7544 0.5346
O 0.8685 0.4547 0.2377


6.
Calculated PXRD pattern of Tl2MoBr4O2 for λ = 1.5418 Å (Cu Kα), from a crystal structure in Alexandria, relaxed with GGA+U.

Largest 10 diffraction maxima, in order of rising 2θ, 10 to 90 degrees two-theta:
| 2theta | I/Imax |
| --- | --- |
| 14.81 | 78 |
| 16.90 | 45 |
| 24.51 | 66 |
| 25.22 | 84 |
| 28.04 | 60 |
| 28.90 | 50 |
| 29.97 | 100 |
| 34.18 | 77 |
| 44.95 | 41 |
| 53.59 | 36 |

Atomic structure:
abc: 7.0850 7.0850 7.3340
angles: 119.36 119.36 64.06
Positions (direct):
Tl 0.2353 0.2353 0.1485
Tl 0.7647 0.7647 0.8515
Mo 0.5000 0.5000 0.0000
Br 0.2158 0.7033 0.7181
Br 0.2967 0.7842 0.2819
Br 0.7033 0.2158 0.7181
Br 0.7842 0.2967 0.2819
O 0.3205 0.3205 0.8916
O 0.6795 0.6795 0.1084